Record 1
Starting from a PBE-relaxed structure, the powder diffractogram of InRhO3 was simulated for CuKα.
No peak broadening, texture or thermal motion is included.

The 12 most intense peaks (10° ≤ 2θ ≤ 90°), most intense first:
2theta	intensity
31.84	100.0
58.92	20.2
33.56	18.9
32.38	18.0
47.32	16.7
57.42	14.2
56.39	11.3
55.62	10.7
43.93	10.7
66.54	9.8
73.15	9.2
86.92	4.8

Structural model:
```
InRhO3
1.0
5.530 0.000 0.000
0.000 8.245 0.000
0.000 0.000 5.341
In Rh O
4 4 12
direct
0.000 0.000 0.000 In
0.000 0.500 0.000 In
0.500 0.000 0.500 In
0.500 0.500 0.500 In
0.051 0.250 0.494 Rh
0.449 0.750 0.994 Rh
0.551 0.250 0.006 Rh
0.949 0.750 0.506 Rh
0.118 0.750 0.166 O
0.181 0.597 0.673 O
0.181 0.903 0.673 O
0.319 0.097 0.173 O
0.319 0.403 0.173 O
0.382 0.250 0.666 O
0.618 0.750 0.334 O
0.681 0.597 0.827 O
0.681 0.903 0.827 O
0.819 0.097 0.327 O
0.819 0.403 0.327 O
0.882 0.250 0.834 O
```



Record 2
Starting from a PBE-relaxed structure, the powder diffractogram of Ba6MgNb2IrCl2O12 was simulated for CuKα.
No peak broadening, texture or thermal motion is included.

The 12 most intense peaks (10° ≤ 2θ ≤ 90°), most intense first:
2theta	intensity
29.75	100.0
29.98	30.0
24.90	26.9
43.30	23.1
31.24	21.7
17.28	18.1
17.57	17.9
43.04	17.1
30.74	16.4
21.14	15.8
30.39	15.8
28.05	15.8

Structural model:
```
Ba6MgNb2IrCl2O12
1.0
6.007 0.000 0.000
-2.992 5.210 0.000
-2.090 -1.206 15.904
Ba Mg Nb Ir Cl O
6 1 2 1 2 12
direct
0.000 0.000 0.000 Ba
0.039 0.022 0.243 Ba
0.238 0.120 0.640 Ba
0.348 0.673 0.118 Ba
0.438 0.719 0.374 Ba
0.631 0.816 0.778 Ba
0.417 0.209 0.840 Mg
0.693 0.348 0.201 Nb
0.992 0.496 0.839 Nb
0.726 0.363 0.003 Ir
0.150 0.076 0.441 Cl
0.472 0.737 0.584 Cl
0.070 0.527 0.251 O
0.141 0.311 0.787 O
0.141 0.830 0.788 O
0.214 0.606 0.940 O
0.338 0.178 0.133 O
0.601 0.051 0.265 O
0.615 0.562 0.266 O
0.636 0.318 0.744 O
0.715 0.149 0.899 O
0.716 0.566 0.899 O
0.786 0.172 0.101 O
0.795 0.617 0.102 O
```



Record 3
Starting from a PBE-relaxed structure, the powder diffractogram of KGa2Cl7 was simulated for CuKα.
No peak broadening, texture or thermal motion is included.

The 12 most intense peaks (10° ≤ 2θ ≤ 90°), most intense first:
2theta	intensity
15.84	100.0
13.90	79.2
19.05	75.7
20.04	66.4
28.41	44.6
28.01	35.7
23.25	32.2
26.60	28.8
12.15	27.3
27.83	26.7
33.67	23.9
29.91	22.5

Structural model:
```
KGa2Cl7
1.0
13.140 0.000 0.000
0.000 9.964 0.000
0.000 0.000 10.677
K Ga Cl
4 8 28
direct
0.074 0.140 0.000 K
0.426 0.640 0.500 K
0.574 0.360 0.000 K
0.926 0.860 0.500 K
0.129 0.630 0.852 Ga
0.183 0.066 0.629 Ga
0.317 0.566 0.129 Ga
0.371 0.130 0.352 Ga
0.629 0.870 0.852 Ga
0.683 0.434 0.629 Ga
0.817 0.934 0.129 Ga
0.871 0.370 0.352 Ga
0.032 0.148 0.654 Cl
0.034 0.799 0.800 Cl
0.040 0.467 0.927 Cl
0.181 0.889 0.511 Cl
0.225 0.725 0.015 Cl
0.238 0.570 0.710 Cl
0.239 0.553 0.307 Cl
0.261 0.053 0.807 Cl
0.262 0.070 0.210 Cl
0.275 0.225 0.515 Cl
0.319 0.389 0.011 Cl
0.460 0.967 0.427 Cl
0.466 0.299 0.300 Cl
0.468 0.648 0.154 Cl
0.532 0.352 0.654 Cl
0.534 0.701 0.800 Cl
0.540 0.033 0.927 Cl
0.681 0.611 0.511 Cl
0.725 0.775 0.015 Cl
0.738 0.930 0.710 Cl
0.739 0.947 0.307 Cl
0.761 0.447 0.807 Cl
0.762 0.430 0.210 Cl
0.775 0.275 0.515 Cl
0.819 0.111 0.011 Cl
0.960 0.533 0.427 Cl
0.966 0.201 0.300 Cl
0.968 0.852 0.154 Cl
```



Record 4
Starting from a PBE-relaxed structure, the powder diffractogram of KScF4 was simulated for CuKα.
No peak broadening, texture or thermal motion is included.

The 12 most intense peaks (10° ≤ 2θ ≤ 90°), most intense first:
2theta	intensity
22.35	100.0
26.45	74.5
43.94	65.7
26.20	62.7
25.37	49.1
27.73	35.5
27.29	32.7
47.97	32.4
20.44	30.5
15.26	26.6
38.24	25.4
44.42	21.4

Structural model:
```
KScF4
1.0
7.963 -2.061 0.000
7.963 2.061 0.000
-4.119 0.000 12.868
K Sc F
4 4 16
direct
0.140 0.140 0.364 K
0.257 0.257 0.865 K
0.743 0.743 0.135 K
0.860 0.860 0.636 K
0.381 0.381 0.386 Sc
0.473 0.473 0.139 Sc
0.527 0.527 0.861 Sc
0.619 0.619 0.614 Sc
0.028 0.028 0.858 F
0.116 0.116 0.617 F
0.269 0.269 0.270 F
0.324 0.324 0.496 F
0.342 0.342 0.070 F
0.398 0.398 0.785 F
0.455 0.455 0.283 F
0.500 0.500 0.000 F
0.500 0.500 0.500 F
0.545 0.545 0.717 F
0.602 0.602 0.215 F
0.658 0.658 0.930 F
0.676 0.676 0.504 F
0.731 0.731 0.730 F
0.884 0.884 0.383 F
0.972 0.972 0.142 F
```